For Pm6In3Pd, a DFT-relaxed cell (GGA-PBE, Alexandria) gives the theoretical X-ray powder pattern in this record (Cu Kα).
Lines closer than 0.1° are merged.

Atomic structure:
Cell: 9.482 5.349 11.769 Å, 90.00 107.50 90.00°
Positions (direct):
Pm 0.038 0.250 0.414
Pm 0.176 0.750 0.171
Pm 0.273 0.250 0.003
Pm 0.353 0.750 0.823
Pm 0.369 0.250 0.346
Pm 0.405 0.250 0.632
Pm 0.595 0.750 0.368
Pm 0.631 0.750 0.654
Pm 0.647 0.250 0.177
Pm 0.727 0.750 0.997
Pm 0.824 0.250 0.829
Pm 0.962 0.750 0.586
In 0.025 0.750 0.880
In 0.113 0.250 0.720
In 0.272 0.750 0.474
In 0.728 0.250 0.526
In 0.887 0.750 0.280
In 0.975 0.250 0.120
Pd 0.458 0.750 0.102
Pd 0.542 0.250 0.898

Main lines, in order of rising 2θ (15° ≤ 2θ ≤ 90°):
- hkl 2 0 -4, 32.08 deg, rel. 35
- hkl 3 1 -1, 32.93 deg, rel. 92
- hkl 1 1 3, 33.08 deg, rel. 100
- hkl 0 2 0, 33.50 deg, rel. 59
- hkl 2 1 -4, 36.32 deg, rel. 18
- hkl 2 2 -4, 47.07 deg, rel. 24
- hkl 3 3 -1, 59.53 deg, rel. 32
- hkl 1 3 3, 59.63 deg, rel. 18